For Na2Cd2F, a structure optimized by DFT (GGA-PBE) gives the calculated XRD peak list in this record (Cu Kα (λ = 1.5418 Å)).
Peak positions follow from Bragg's law for the DFT cell and can differ from measured ones.

Principal peaks in the range 10 to 80 degrees two-theta, in order of rising 2θ:
(0 0 1), 14.0 deg, intensity 81.0
(0 0 2), 28.1 deg, intensity 56.0
(2 1 0), 32.7 deg, intensity 32.8
(2 1 1), 35.7 deg, intensity 100.0
(2 1 2), 43.7 deg, intensity 29.1
(2 1 3), 54.8 deg, intensity 27.5

Structural model:
```
data_Na2Cd2F
_space_group_name_H-M_alt 'P 4/m b m'
_space_group_IT_number 127
_space_group_name_Hall '-P 4 2ab'
_cell_length_a 6.1221
_cell_length_b 6.1221
_cell_length_c 6.3477
_cell_angle_alpha 90.00
_cell_angle_beta 90.00
_cell_angle_gamma 90.00
loop_
_atom_site_label
_atom_site_fract_x
_atom_site_fract_y
_atom_site_fract_z
Na1 0.2001 0.2999 0.0000
Cd1 0.1730 0.6730 0.5000
F1 0.0000 0.0000 0.0000
```